Record 1
The following is a simulated powder X-ray diffraction pattern of Ti2Co3Te3O16. It was derived from a crystal structure in the Materials Project, relaxed with PBE+U, using CuKα.
Intensities are scaled so that the largest is 100.

Crystal structure
```
data_Ti2Co3Te3O16
_chemical_formula_sum 'Ti4 Co6 Te6 O32'
_cell_length_a 10.749
_cell_length_b 6.076
_cell_length_c 9.307
_cell_angle_alpha 90.00
_cell_angle_beta 91.79
_cell_angle_gamma 90.00
_symmetry_space_group_name_H-M 'C 1 m 1'
_symmetry_Int_Tables_number 8
_symmetry_space_group_name_Hall 'C -2y'
loop_
_atom_site_label
_atom_site_type_symbol
_atom_site_fract_x
_atom_site_fract_y
_atom_site_fract_z
Ti1 Ti 0.000 0.000 0.000
Ti2 Ti 0.181 0.500 0.450
Co1 Co 0.033 0.500 0.753
Co2 Co 0.440 0.250 0.261
Te1 Te 0.188 0.000 0.247
Te2 Te 0.282 0.251 0.747
O1 O 0.032 0.500 0.372
O2 O 0.038 0.000 0.357
O3 O 0.101 0.209 0.112
O4 O 0.134 0.279 0.629
O5 O 0.207 0.000 0.856
O6 O 0.213 0.500 0.866
O7 O 0.261 0.253 0.363
O8 O 0.346 0.000 0.158
O9 O 0.346 0.500 0.625
O10 O 0.355 0.000 0.637
O11 O 0.377 0.500 0.116
O12 O 0.438 0.252 0.854
```

Top 12 peaks for 10 to 90 degrees two-theta, low angle first:
- (2 0 -1), d = 4.716 Å, 18.8°, I 24
- (0 0 2), d = 4.645 Å, 19.1°, I 100
- (1 1 1), d = 4.574 Å, 19.4°, I 21
- (2 0 2), d = 3.464 Å, 25.7°, I 12
- (4 0 -1), d = 2.603 Å, 34.5°, I 19
- (4 0 1), d = 2.556 Å, 35.1°, I 30
- (0 2 2), d = 2.542 Å, 35.3°, I 17
- (2 2 1), d = 2.533 Å, 35.4°, I 21
- (2 2 -2), d = 2.314 Å, 38.9°, I 14
- (2 2 -3), d = 2.028 Å, 44.7°, I 18
- (4 0 3), d = 1.998 Å, 45.4°, I 22
- (6 2 0), d = 1.543 Å, 60.0°, I 16



Record 2
The following is a simulated powder X-ray diffraction pattern of V3Co3Te2O16. It was derived from a crystal structure in the Materials Project, relaxed with PBE+U, using CuKα.
Intensities are scaled so that the largest is 100.

Crystal structure
```
data_V3Co3Te2O16
_chemical_formula_sum 'V3 Co3 Te2 O16'
_cell_length_a 5.869
_cell_length_b 5.902
_cell_length_c 10.105
_cell_angle_alpha 91.35
_cell_angle_beta 90.22
_cell_angle_gamma 118.91
_symmetry_space_group_name_H-M 'P 1'
_symmetry_Int_Tables_number 1
_symmetry_space_group_name_Hall 'P 1'
loop_
_atom_site_label
_atom_site_type_symbol
_atom_site_fract_x
_atom_site_fract_y
_atom_site_fract_z
V1 V 0.000 0.000 0.000
V2 V 0.044 0.540 0.979
V3 V 0.170 0.381 0.518
Co1 Co 0.495 0.037 0.966
Co2 Co 0.659 0.378 0.507
Co3 Co 0.668 0.860 0.503
Te1 Te 0.184 0.878 0.305
Te2 Te 0.518 0.542 0.768
O1 O 0.029 0.044 0.412
O2 O 0.033 0.562 0.410
O3 O 0.143 0.850 0.883
O4 O 0.182 0.382 0.864
O5 O 0.286 0.164 0.090
O6 O 0.300 0.685 0.085
O7 O 0.333 0.661 0.637
O8 O 0.343 0.246 0.633
O9 O 0.468 0.502 0.409
O10 O 0.516 0.039 0.390
O11 O 0.671 0.376 0.866
O12 O 0.672 0.864 0.867
O13 O 0.790 0.675 0.635
O14 O 0.844 0.211 0.051
O15 O 0.849 0.224 0.586
O16 O 0.860 0.715 0.087
```

Top 12 peaks for 10 to 90 degrees two-theta, low angle first:
- (0 0 2), d = 5.052 Å, 17.6°, I 47
- (0 1 -1), d = 4.653 Å, 19.1°, I 36
- (1 0 -1), d = 4.611 Å, 19.2°, I 35
- (0 1 1), d = 4.547 Å, 19.5°, I 100
- (-1 1 1), d = 4.510 Å, 19.7°, I 23
- (-1 1 2), d = 3.562 Å, 25.0°, I 40
- (1 -1 3), d = 2.819 Å, 31.7°, I 25
- (1 -2 2), d = 2.571 Å, 34.9°, I 27
- (-2 1 2), d = 2.542 Å, 35.3°, I 30
- (-1 2 2), d = 2.522 Å, 35.6°, I 37
- (2 0 1), d = 2.481 Å, 36.2°, I 23
- (0 2 -5), d = 1.614 Å, 57.1°, I 23



Record 3
The following is a simulated powder X-ray diffraction pattern of Zn4Co5Te3O18. It was derived from a crystal structure in the Materials Project, relaxed with PBE+U, using CuKα.
Intensities are scaled so that the largest is 100.

Crystal structure
```
data_Zn4Co5Te3O18
_chemical_formula_sum 'Zn16 Co20 Te12 O72'
_cell_length_a 15.001
_cell_length_b 8.920
_cell_length_c 10.546
_cell_angle_alpha 90.00
_cell_angle_beta 94.21
_cell_angle_gamma 90.00
_symmetry_space_group_name_H-M 'C 1 2/c 1'
_symmetry_Int_Tables_number 15
_symmetry_space_group_name_Hall '-C 2yc'
loop_
_atom_site_label
_atom_site_type_symbol
_atom_site_fract_x
_atom_site_fract_y
_atom_site_fract_z
Zn1 Zn 0.024 0.154 0.045
Zn2 Zn 0.204 0.362 0.925
Co1 Co 0.000 0.317 0.750
Co2 Co 0.140 0.350 0.270
Co3 Co 0.165 0.209 0.555
Te1 Te 0.000 0.500 0.000
Te2 Te 0.162 0.005 0.802
O1 O 0.068 0.493 0.663
O2 O 0.073 0.336 0.936
O3 O 0.074 0.336 0.438
O4 O 0.080 0.007 0.438
O5 O 0.097 0.161 0.705
O6 O 0.103 0.153 0.200
O7 O 0.225 0.164 0.390
O8 O 0.241 0.151 0.895
O9 O 0.249 0.472 0.331
```

Top 12 peaks for 10 to 90 degrees two-theta, low angle first:
- (3 1 0), d = 4.353 Å, 20.4°, I 62
- (2 0 2), d = 4.161 Å, 21.4°, I 48
- (4 0 -2), d = 3.159 Å, 28.2°, I 84
- (2 2 2), d = 3.042 Å, 29.4°, I 75
- (3 1 -3), d = 2.820 Å, 31.7°, I 43
- (5 1 -1), d = 2.788 Å, 32.1°, I 31
- (4 2 1), d = 2.726 Å, 32.8°, I 56
- (3 1 3), d = 2.649 Å, 33.8°, I 47
- (4 2 -2), d = 2.578 Å, 34.8°, I 32
- (1 3 -2), d = 2.566 Å, 35.0°, I 100
- (3 3 0), d = 2.554 Å, 35.1°, I 58
- (7 3 -2), d = 1.679 Å, 54.7°, I 81



Record 4
The following is a simulated powder X-ray diffraction pattern of ZnCoTe3O8. It was derived from a crystal structure in the Materials Project, relaxed with PBE+U, using CuKα.
Intensities are scaled so that the largest is 100.

Crystal structure
```
data_ZnCoTe3O8
_chemical_formula_sum 'Zn4 Co4 Te12 O32'
_cell_length_a 12.850
_cell_length_b 5.303
_cell_length_c 11.889
_cell_angle_alpha 90.00
_cell_angle_beta 99.35
_cell_angle_gamma 90.00
_symmetry_space_group_name_H-M 'C 1 2 1'
_symmetry_Int_Tables_number 5
_symmetry_space_group_name_Hall 'C 2y'
loop_
_atom_site_label
_atom_site_type_symbol
_atom_site_fract_x
_atom_site_fract_y
_atom_site_fract_z
Zn1 Zn 0.229 0.000 0.094
Co1 Co 0.229 0.582 0.598
Te1 Te 0.000 0.654 0.000
Te2 Te 0.000 0.931 0.500
Te3 Te 0.137 0.593 0.306
Te4 Te 0.137 0.985 0.802
O1 O 0.081 0.710 0.606
O2 O 0.082 0.874 0.106
O3 O 0.113 0.678 0.889
O4 O 0.114 0.904 0.390
O5 O 0.196 0.410 0.440
O6 O 0.197 0.167 0.936
O7 O 0.234 0.271 0.712
O8 O 0.236 0.300 0.218
```

Top 12 peaks for 10 to 90 degrees two-theta, low angle first:
- (1 1 0), d = 4.893 Å, 18.1°, I 55
- (1 1 -1), d = 4.620 Å, 19.2°, I 21
- (2 0 2), d = 3.994 Å, 22.3°, I 38
- (3 1 -1), d = 3.292 Å, 27.1°, I 89
- (4 0 -2), d = 3.000 Å, 29.8°, I 30
- (1 1 3), d = 2.965 Å, 30.1°, I 100
- (2 0 -4), d = 2.843 Å, 31.5°, I 37
- (2 2 -1), d = 2.425 Å, 37.1°, I 17
- (5 1 -1), d = 2.310 Å, 39.0°, I 17
- (0 2 3), d = 2.195 Å, 41.1°, I 17
- (5 1 1), d = 2.186 Å, 41.3°, I 19
- (1 1 -7), d = 1.617 Å, 57.0°, I 19



Record 5
The following is a simulated powder X-ray diffraction pattern of TiCo5O12. It was derived from a crystal structure in the Materials Project, relaxed with PBE+U, using CuKα.
Intensities are scaled so that the largest is 100.

Crystal structure
```
data_TiCo5O12
_chemical_formula_sum 'Ti2 Co10 O24'
_cell_length_a 4.955
_cell_length_b 4.956
_cell_length_c 21.055
_cell_angle_alpha 89.81
_cell_angle_beta 89.75
_cell_angle_gamma 60.03
_symmetry_space_group_name_H-M 'P 1'
_symmetry_Int_Tables_number 1
_symmetry_space_group_name_Hall 'P 1'
loop_
_atom_site_label
_atom_site_type_symbol
_atom_site_fract_x
_atom_site_fract_y
_atom_site_fract_z
Ti1 Ti 0.000 0.000 0.000
Ti2 Ti 0.000 0.000 0.497
Co1 Co 0.167 0.666 0.244
Co2 Co 0.167 0.666 0.744
Co3 Co 0.334 0.333 0.497
Co4 Co 0.334 0.333 0.999
Co5 Co 0.500 0.000 0.244
Co6 Co 0.500 0.000 0.744
Co7 Co 0.666 0.667 0.999
Co8 Co 0.667 0.666 0.497
Co9 Co 0.834 0.333 0.244
Co10 Co 0.834 0.333 0.744
O1 O 0.000 0.344 0.046
O2 O 0.000 0.344 0.544
O3 O 0.000 0.656 0.953
O4 O 0.001 0.655 0.451
O5 O 0.166 0.332 0.288
O6 O 0.166 0.333 0.788
O7 O 0.167 0.000 0.699
O8 O 0.168 0.000 0.200
O9 O 0.344 0.655 0.544
O10 O 0.346 0.000 0.451
O11 O 0.346 0.655 0.046
O12 O 0.346 0.999 0.953
O13 O 0.499 0.667 0.288
O14 O 0.500 0.666 0.788
O15 O 0.501 0.333 0.200
O16 O 0.501 0.333 0.699
O17 O 0.653 0.001 0.046
O18 O 0.655 0.344 0.953
O19 O 0.655 0.999 0.544
O20 O 0.656 0.345 0.451
O21 O 0.833 0.000 0.788
O22 O 0.833 0.999 0.288
O23 O 0.834 0.667 0.200
O24 O 0.835 0.667 0.699
```

Top 12 peaks for 10 to 90 degrees two-theta, low angle first:
- (0 0 4), d = 5.264 Å, 16.8°, I 100
- (0 0 8), d = 2.632 Å, 34.1°, I 4
- (2 1 0), d = 2.477 Å, 36.3°, I 5
- (1 2 2), d = 2.412 Å, 37.3°, I 21
- (2 1 4), d = 2.245 Å, 40.2°, I 7
- (2 1 -4), d = 2.239 Å, 40.3°, I 8
- (1 2 6), d = 2.027 Å, 44.7°, I 11
- (1 2 -6), d = 2.022 Å, 44.8°, I 11
- (2 1 8), d = 1.808 Å, 50.5°, I 5
- (1 2 10), d = 1.606 Å, 57.4°, I 6
- (1 2 -10), d = 1.603 Å, 57.5°, I 7
- (3 3 2), d = 1.418 Å, 65.9°, I 8



Record 6
The following is a simulated powder X-ray diffraction pattern of TiCo2O4. It was derived from a crystal structure in the Materials Project, relaxed with PBE+U, using CuKα.
Intensities are scaled so that the largest is 100.

Crystal structure
```
data_TiCo2O4
_chemical_formula_sum 'Ti4 Co8 O16'
_cell_length_a 6.006
_cell_length_b 6.017
_cell_length_c 8.613
_cell_angle_alpha 90.00
_cell_angle_beta 90.00
_cell_angle_gamma 90.00
_symmetry_space_group_name_H-M 'I m m a'
_symmetry_Int_Tables_number 74
_symmetry_space_group_name_Hall '-I 2b 2'
loop_
_atom_site_label
_atom_site_type_symbol
_atom_site_fract_x
_atom_site_fract_y
_atom_site_fract_z
Ti1 Ti 0.000 0.000 0.000
Co1 Co 0.000 0.250 0.366
Co2 Co 0.250 0.250 0.750
O1 O 0.000 0.014 0.772
O2 O 0.222 0.250 0.003
```

Top 12 peaks for 10 to 90 degrees two-theta, low angle first:
- (1 1 2), d = 3.025 Å, 29.5°, I 33
- (0 2 0), d = 3.007 Å, 29.7°, I 18
- (0 1 3), d = 2.591 Å, 34.6°, I 51
- (2 1 1), d = 2.566 Å, 35.0°, I 100
- (0 2 2), d = 2.465 Å, 36.4°, I 10
- (2 2 0), d = 2.125 Å, 42.5°, I 17
- (3 1 2), d = 1.739 Å, 52.6°, I 12
- (0 1 5), d = 1.656 Å, 55.5°, I 15
- (2 3 1), d = 1.637 Å, 56.2°, I 31
- (2 2 4), d = 1.513 Å, 61.3°, I 44
- (0 4 0), d = 1.504 Å, 61.7°, I 11
- (4 0 0), d = 1.501 Å, 61.8°, I 11



Record 7
The following is a simulated powder X-ray diffraction pattern of TiCo3O8. It was derived from a crystal structure in the Materials Project, relaxed with PBE+U, using CuKα.
Intensities are scaled so that the largest is 100.

Crystal structure
```
data_TiCo3O8
_chemical_formula_sum 'Ti3 Co9 O24'
_cell_length_a 5.7535
_cell_length_b 5.7535
_cell_length_c 15.3293
_cell_angle_alpha 90.00
_cell_angle_beta 90.00
_cell_angle_gamma 120.00
_symmetry_space_group_name_H-M 'R -3 m'
_symmetry_Int_Tables_number 166
_symmetry_space_group_name_Hall '-R 3 2"'
loop_
_atom_site_label
_atom_site_type_symbol
_atom_site_fract_x
_atom_site_fract_y
_atom_site_fract_z
Ti1 Ti 0.0000 0.0000 0.0000
Co1 Co 0.0000 0.5000 0.0000
O1 O 0.0000 0.0000 0.2714
O2 O 0.0127 0.5064 0.2712
```

Top 12 peaks for 10 to 90 degrees two-theta, low angle first:
- (0 0 3), d = 5.110 Å, 17.4°, I 100
- (0 0 6), d = 2.555 Å, 35.1°, I 4
- (0 2 1), d = 2.459 Å, 36.5°, I 24
- (2 0 2), d = 2.369 Å, 38.0°, I 5
- (0 2 4), d = 2.089 Å, 43.3°, I 37
- (2 0 5), d = 1.933 Å, 47.0°, I 6
- (0 2 7), d = 1.645 Å, 55.9°, I 15
- (2 0 8), d = 1.519 Å, 61.0°, I 9
- (2 2 0), d = 1.438 Å, 64.8°, I 10
- (2 2 3), d = 1.385 Å, 67.7°, I 11
- (2 0 11), d = 1.216 Å, 78.7°, I 5
- (4 0 4), d = 1.185 Å, 81.2°, I 4



Record 8
The following is a simulated powder X-ray diffraction pattern of TiCo5O12. It was derived from a crystal structure in the Materials Project, relaxed with PBE+U, using CuKα.
Intensities are scaled so that the largest is 100.

Crystal structure
```
data_TiCo5O12
_chemical_formula_sum 'Ti2 Co10 O24'
_cell_length_a 4.947
_cell_length_b 4.953
_cell_length_c 19.503
_cell_angle_alpha 90.03
_cell_angle_beta 90.02
_cell_angle_gamma 119.96
_symmetry_space_group_name_H-M 'P -1'
_symmetry_Int_Tables_number 2
_symmetry_space_group_name_Hall '-P 1'
loop_
_atom_site_label
_atom_site_type_symbol
_atom_site_fract_x
_atom_site_fract_y
_atom_site_fract_z
Ti1 Ti 0.000 0.000 0.250
Co1 Co 0.167 0.333 0.000
Co2 Co 0.167 0.333 0.500
Co3 Co 0.333 0.667 0.250
Co4 Co 0.333 0.667 0.750
Co5 Co 0.500 0.000 0.000
Co6 Co 0.500 0.000 0.500
O1 O 0.000 0.345 0.200
O2 O 0.000 0.345 0.700
O3 O 0.166 0.000 0.452
O4 O 0.166 0.999 0.952
O5 O 0.167 0.667 0.047
O6 O 0.167 0.667 0.548
O7 O 0.345 0.000 0.200
O8 O 0.345 0.000 0.700
O9 O 0.345 0.345 0.300
O10 O 0.345 0.345 0.800
O11 O 0.499 0.666 0.953
O12 O 0.500 0.333 0.548
```

Top 12 peaks for 10 to 90 degrees two-theta, low angle first:
- (0 0 4), d = 4.876 Å, 18.2°, I 100
- (2 -1 0), d = 2.473 Å, 36.3°, I 6
- (1 1 2), d = 2.400 Å, 37.5°, I 27
- (-2 1 4), d = 2.206 Å, 40.9°, I 20
- (-1 2 6), d = 1.970 Å, 46.1°, I 28
- (2 -1 8), d = 1.736 Å, 52.7°, I 11
- (1 1 -10), d = 1.532 Å, 60.4°, I 14
- (3 0 -2), d = 1.414 Å, 66.1°, I 7
- (3 0 2), d = 1.413 Å, 66.1°, I 6
- (0 3 -4), d = 1.372 Å, 68.3°, I 4
- (2 -1 12), d = 1.358 Å, 69.2°, I 5
- (1 1 -14), d = 1.214 Å, 78.8°, I 5